# 1
# CoIF2
Calculated X-ray powder pattern, Cu Kα, 1.54184 Å. Input: the PBE+U geometry in Alexandria.
Peak positions follow from Bragg's law for the DFT cell and can differ from measured ones.

Largest 12 diffraction maxima, sorted by position, 15° ≤ 2θ ≤ 90°:
28.25 deg, rel. 100
28.39 deg, rel. 49
33.39 deg, rel. 15
40.58 deg, rel. 12
49.92 deg, rel. 20
50.18 deg, rel. 39
58.43 deg, rel. 17
65.86 deg, rel. 8
66.47 deg, rel. 16
80.30 deg, rel. 10
80.64 deg, rel. 9
80.84 deg, rel. 9

Atomic structure:
```
data_CoIF2
_chemical_formula_sum 'Co2 I2 F4'
_cell_length_a 6.318
_cell_length_b 6.318
_cell_length_c 6.318
_cell_angle_alpha 120.32
_cell_angle_beta 120.32
_cell_angle_gamma 89.44
_symmetry_space_group_name_H-M 'P 1'
_symmetry_Int_Tables_number 1
_symmetry_space_group_name_Hall 'P 1'
loop_
_atom_site_label
_atom_site_fract_x
_atom_site_fract_y
_atom_site_fract_z
_atom_site_occupancy
Co1 0.375 0.625 0.750 1
Co2 0.625 0.375 0.250 1
I1 0.125 0.875 0.250 1
I2 0.875 0.125 0.750 1
F1 0.000 0.500 0.500 1
F2 0.500 0.000 0.000 1
F3 0.500 0.500 0.000 1
F4 0.500 0.500 0.500 1
```

# 2
# NpZnCo2O8
Calculated X-ray powder pattern, Cu Kα, 1.54184 Å. Input: the PBE+U geometry in Alexandria.
Peak positions follow from Bragg's law for the DFT cell and can differ from measured ones.

Largest 12 diffraction maxima, sorted by position, 15° ≤ 2θ ≤ 90°:
18.86 deg, rel. 83
26.81 deg, rel. 88
32.95 deg, rel. 100
38.26 deg, rel. 28
42.97 deg, rel. 31
51.37 deg, rel. 73
55.25 deg, rel. 14
62.34 deg, rel. 17
62.45 deg, rel. 13
65.84 deg, rel. 18
69.11 deg, rel. 14
78.80 deg, rel. 13

Atomic structure:
```
data_NpZnCo2O8
_chemical_formula_sum 'Np1 Zn1 Co2 O8'
_cell_length_a 5.764
_cell_length_b 5.764
_cell_length_c 5.764
_cell_angle_alpha 109.53
_cell_angle_beta 109.53
_cell_angle_gamma 109.36
_symmetry_space_group_name_H-M 'P 1'
_symmetry_Int_Tables_number 1
_symmetry_space_group_name_Hall 'P 1'
loop_
_atom_site_label
_atom_site_fract_x
_atom_site_fract_y
_atom_site_fract_z
_atom_site_occupancy
Np1 0.000 0.000 0.000 1
Zn1 0.750 0.250 0.500 1
Co1 0.250 0.750 0.500 1
Co2 0.500 0.500 0.000 1
O1 0.063 0.353 0.289 1
O2 0.063 0.774 0.711 1
O3 0.122 0.318 0.804 1
O4 0.226 0.937 0.289 1
O5 0.514 0.318 0.196 1
O6 0.647 0.937 0.711 1
O7 0.682 0.486 0.804 1
O8 0.682 0.878 0.196 1
```